No. 1
Theoretical XRD peak list of ScAl3Pt2 for CuKα, from a cell relaxed with PBE.
Intensities are scaled so that the largest is 100.

Largest 10 diffraction maxima, low angle first, 2θ from 10° to 90°:
- 2θ = 22.44°, I = 50.6
- 2θ = 23.70°, I = 44.0
- 2θ = 24.44°, I = 85.8
- 2θ = 27.37°, I = 45.4
- 2θ = 27.53°, I = 100.0
- 2θ = 28.49°, I = 58.8
- 2θ = 30.43°, I = 61.5
- 2θ = 35.51°, I = 37.9
- 2θ = 44.23°, I = 99.6
- 2θ = 46.13°, I = 46.2

Lattice parameters (Å, degrees): 8.5692 8.5692 9.7441 108.89 108.89 27.64
Element x y z (fractional)
Sc  0.0000  0.0000  0.0000
Sc  0.1559  0.1559  0.7011
Sc  0.8441  0.8441  0.2989
Al  0.0379  0.0379  0.3494
Al  0.2128  0.2128  0.3919
Al  0.3197  0.3197  0.0382
Al  0.3784  0.3784  0.8088
Al  0.5000  0.5000  0.5000
Al  0.6216  0.6216  0.1912
Al  0.6803  0.6803  0.9618
Al  0.7872  0.7872  0.6081
Al  0.9621  0.9621  0.6506
Pt  0.1935  0.1935  0.1275
Pt  0.3618  0.3618  0.5424
Pt  0.4697  0.4697  0.2097
Pt  0.5303  0.5303  0.7903
Pt  0.6382  0.6382  0.4576
Pt  0.8065  0.8065  0.8725

***

No. 2
Theoretical XRD peak list of Sc4Al12Pt for CuKα, from a cell relaxed with PBE.
Intensities are scaled so that the largest is 100.

Largest 10 diffraction maxima, low angle first, 2θ from 10° to 90°:
- 2θ = 14.87°, I = 100.0
- 2θ = 25.91°, I = 62.1
- 2θ = 30.00°, I = 58.1
- 2θ = 33.64°, I = 51.7
- 2θ = 36.97°, I = 23.7
- 2θ = 40.05°, I = 69.0
- 2θ = 42.95°, I = 61.5
- 2θ = 45.69°, I = 26.0
- 2θ = 50.84°, I = 26.5
- 2θ = 62.36°, I = 36.1

Lattice parameters (Å, degrees): 7.2953 7.2953 7.2953 109.47 109.47 109.47
Element x y z (fractional)
Sc  0.0000  0.0000  0.5000
Sc  0.0000  0.5000  0.0000
Sc  0.5000  0.0000  0.0000
Sc  0.5000  0.5000  0.5000
Al  0.0000  0.2926  0.2926
Al  0.0000  0.7074  0.7074
Al  0.2500  0.5000  0.7500
Al  0.2500  0.7500  0.5000
Al  0.2926  0.0000  0.2926
Al  0.2926  0.2926  0.0000
Al  0.5000  0.2500  0.7500
Al  0.5000  0.7500  0.2500
Al  0.7074  0.0000  0.7074
Al  0.7074  0.7074  0.0000
Al  0.7500  0.2500  0.5000
Al  0.7500  0.5000  0.2500
Pt  0.0000  0.0000  0.0000

***

No. 3
Theoretical XRD peak list of Sm2ScAlPt6 for CuKα, from a cell relaxed with PBE.
Intensities are scaled so that the largest is 100.

Largest 10 diffraction maxima, low angle first, 2θ from 10° to 90°:
- 2θ = 10.90°, I = 40.7
- 2θ = 21.89°, I = 74.3
- 2θ = 34.72°, I = 17.1
- 2θ = 37.56°, I = 100.0
- 2θ = 38.88°, I = 24.8
- 2θ = 39.76°, I = 86.1
- 2θ = 41.40°, I = 34.2
- 2θ = 47.74°, I = 27.4
- 2θ = 66.28°, I = 25.2
- 2θ = 70.72°, I = 18.6

Lattice parameters (Å, degrees): 8.7478 8.7478 8.7478 37.62 37.62 37.62
Element x y z (fractional)
Sm  0.2043  0.2043  0.2043
Sm  0.7957  0.7957  0.7957
Sc  0.0000  0.0000  0.0000
Al  0.5000  0.5000  0.5000
Pt  0.2448  0.7437  0.7437
Pt  0.2563  0.2563  0.7552
Pt  0.2563  0.7552  0.2563
Pt  0.7437  0.2448  0.7437
Pt  0.7437  0.7437  0.2448
Pt  0.7552  0.2563  0.2563

***

No. 4
Theoretical XRD peak list of TmScAlPt for CuKα, from a cell relaxed with PBE.
Intensities are scaled so that the largest is 100.

Largest 9 diffraction maxima, low angle first, 2θ from 10° to 90°:
- 2θ = 22.47°, I = 53.1
- 2θ = 37.10°, I = 100.0
- 2θ = 43.80°, I = 29.1
- 2θ = 53.47°, I = 17.4
- 2θ = 58.71°, I = 12.5
- 2θ = 66.87°, I = 35.5
- 2θ = 71.52°, I = 9.4
- 2θ = 79.02°, I = 11.1
- 2θ = 83.42°, I = 9.6

Lattice parameters (Å, degrees): 6.8545 6.8545 6.8545 90.00 90.00 90.00
Element x y z (fractional)
Tm  0.0000  0.0000  0.0000
Tm  0.0000  0.5000  0.5000
Tm  0.5000  0.0000  0.5000
Tm  0.5000  0.5000  0.0000
Sc  0.0000  0.0000  0.5000
Sc  0.0000  0.5000  0.0000
Sc  0.5000  0.0000  0.0000
Sc  0.5000  0.5000  0.5000
Al  0.2500  0.2500  0.7500
Al  0.2500  0.7500  0.2500
Al  0.7500  0.2500  0.2500
Al  0.7500  0.7500  0.7500
Pt  0.2500  0.2500  0.2500
Pt  0.2500  0.7500  0.7500
Pt  0.7500  0.2500  0.7500
Pt  0.7500  0.7500  0.2500